No. 1
Theoretical X-ray diffraction stick pattern
Compound: Tb5TeIr2
Radiation: Cu Kα X-rays
Structure: DFT lattice parameters and positions (GGA-PBE)
Kinematic intensities with the Lorentz-polarization factor, no thermal factor.

Crystal structure
```
data_Tb5TeIr2
_chemical_formula_sum 'Tb20 Te4 Ir8'
_space_group_name_H-M_alt 'I 4/m c m'
_space_group_IT_number 140
_space_group_name_Hall '-I 4 2c'
_cell_length_a 7.830
_cell_length_b 7.830
_cell_length_c 13.527
_cell_angle_alpha 90.00
_cell_angle_beta 90.00
_cell_angle_gamma 90.00
loop_
_atom_site_label
_atom_site_type_symbol
_atom_site_fract_x
_atom_site_fract_y
_atom_site_fract_z
_atom_site_occupancy
Tb1 Tb 0.000 0.000 0.000 1
Tb2 Tb 0.155 0.345 0.133 1
Te1 Te 0.000 0.000 0.250 1
Ir1 Ir 0.141 0.359 0.500 1
```

Most intense lines, 2θ from 10° to 90°, low angle first:
Position (°2θ)  intensity  (hkl)
13.09  25  0 0 2
30.99  12  1 1 4
32.37  100  2 1 3
35.06  16  2 0 4
36.28  52  3 1 0
42.21  31  2 1 5
46.40  11  4 0 0
52.26  16  4 2 0
67.02  16  3 1 8
67.70  22  4 4 0



No. 2
Theoretical X-ray diffraction stick pattern
Compound: Cs2Rb7Hg2
Radiation: Cu Kα X-rays
Structure: DFT lattice parameters and positions (GGA-PBE)
Kinematic intensities with the Lorentz-polarization factor, no thermal factor.

Crystal structure
```
data_Cs2Rb7Hg2
_chemical_formula_sum 'Cs4 Rb14 Hg4'
_space_group_name_H-M_alt 'C 1 2/m 1'
_space_group_IT_number 12
_cell_length_a 10.840
_cell_length_b 16.467
_cell_length_c 11.120
_cell_angle_alpha 90.00
_cell_angle_beta 102.14
_cell_angle_gamma 90.00
loop_
_space_group_symop_operation_xyz
'x,y,z'
'-x,-y,-z'
'-x,y,-z'
'x,-y,z'
'x+1/2,y+1/2,z'
'-x+1/2,-y+1/2,-z'
'-x+1/2,y+1/2,-z'
'x+1/2,-y+1/2,z'
loop_
_atom_site_label
_atom_site_type_symbol
_atom_site_fract_x
_atom_site_fract_y
_atom_site_fract_z
_atom_site_occupancy
Cs1 Cs 0.000 0.141 0.000 1
Rb1 Rb 0.000 0.500 0.500 1
Rb2 Rb 0.162 0.000 0.656 1
Rb3 Rb 0.183 0.281 0.678 1
Hg1 Hg 0.171 0.000 0.298 1
```

Most intense lines, 2θ from 10° to 90°, low angle first:
Position (°2θ)  intensity  (hkl)
11.67  100  1 1 -1
20.80  58  2 0 -2
22.87  35  2 2 1
23.10  52  0 4 1
24.56  52  0 0 3
25.73  55  1 3 2
27.17  40  0 4 2
28.18  39  1 1 3
30.08  92  3 3 0
34.61  38  2 4 -3



No. 3
Theoretical X-ray diffraction stick pattern
Compound: Pa2GaOs3
Radiation: Cu Kα X-rays
Structure: DFT lattice parameters and positions (GGA-PBE)
Kinematic intensities with the Lorentz-polarization factor, no thermal factor.

Crystal structure
```
data_Pa2GaOs3
_chemical_formula_sum 'Pa4 Ga2 Os6'
_space_group_name_H-M_alt 'P 63/m m c'
_space_group_IT_number 194
_space_group_name_Hall '-P 6c 2c'
_cell_length_a 5.6068
_cell_length_b 5.6068
_cell_length_c 7.9699
_cell_angle_alpha 90.00
_cell_angle_beta 90.00
_cell_angle_gamma 120.00
loop_
_atom_site_label
_atom_site_type_symbol
_atom_site_fract_x
_atom_site_fract_y
_atom_site_fract_z
_atom_site_occupancy
Pa1 Pa 0.3333 0.6667 0.0674 1
Ga1 Ga 0.0000 0.0000 0.0000 1
Os1 Os 0.1706 0.3412 0.7500 1
```

Most intense lines, 2θ from 10° to 90°, low angle first:
Position (°2θ)  intensity  (hkl)
31.92  23  1 1 0
37.03  25  2 0 0
38.63  72  1 0 3
38.77  100  2 0 1
39.29  73  1 1 2
61.40  35  2 1 3
61.87  20  3 0 2
66.73  29  2 2 0
70.70  29  2 0 5
79.89  31  4 0 1



No. 4
Theoretical X-ray diffraction stick pattern
Compound: TaVCd
Radiation: Cu Kα X-rays
Structure: DFT lattice parameters and positions (GGA-PBE)
Kinematic intensities with the Lorentz-polarization factor, no thermal factor.

Crystal structure
```
data_TaVCd
_chemical_formula_sum 'Ta2 V2 Cd2'
_space_group_name_H-M_alt 'P 1 m 1'
_space_group_IT_number 6
_cell_length_a 2.841
_cell_length_b 4.648
_cell_length_c 8.028
_cell_angle_alpha 90.00
_cell_angle_beta 93.16
_cell_angle_gamma 90.00
loop_
_space_group_symop_operation_xyz
'x,y,z'
'x,-y,z'
loop_
_atom_site_label
_atom_site_type_symbol
_atom_site_fract_x
_atom_site_fract_y
_atom_site_fract_z
_atom_site_occupancy
Ta1 Ta 0.000 0.000 0.000 1
Ta2 Ta 0.369 0.500 0.178 1
V1 V 0.389 0.000 0.714 1
V2 V 0.647 0.500 0.872 1
Cd1 Cd 0.818 0.000 0.359 1
Cd2 Cd 0.974 0.500 0.552 1
```

Most intense lines, 2θ from 10° to 90°, low angle first:
Position (°2θ)  intensity  (hkl)
11.04  59  0 0 1
29.43  41  0 1 2
37.13  20  1 1 0
37.83  50  1 0 -2
38.75  58  0 2 0
38.88  100  0 1 3
39.37  95  1 1 1
55.27  33  1 2 -2
70.54  22  1 3 1
71.77  18  1 2 4